This entry pairs a crystal structure of Gd3Ga2Co4 with its computed powder XRD pattern. Radiation: Cu Kα (λ = 1.5418 Å). Structure: a cell relaxed with GGA-PBE.

Cell: 5.3413 5.3413 8.1197 Å, 98.31 98.31 44.84°
Atoms (fractional coordinates):
Gd (0.0000, 0.0000, 0.0000)
Gd (0.3727, 0.3727, 0.6251)
Gd (0.6273, 0.6273, 0.3749)
Ga (0.3231, 0.3231, 0.2246)
Ga (0.6769, 0.6769, 0.7754)
Co (0.0783, 0.0783, 0.6249)
Co (0.2601, 0.2601, 0.9195)
Co (0.7399, 0.7399, 0.0805)
Co (0.9217, 0.9217, 0.3751)

The 10 most intense peaks (2θ from 10° to 80°), low angle first:
2theta  Rel. int.
26.79  75
31.01  36
31.63  78
35.32  100
35.70  47
36.81  43
39.60  48
40.18  42
42.66  56
44.47  86

---

This entry pairs a crystal structure of Gd4GaCo4 with its computed powder XRD pattern. Radiation: Cu Kα (λ = 1.5418 Å). Structure: a cell relaxed with GGA-PBE.

Cell: 5.4928 5.4928 8.9240 Å, 108.89 108.89 43.56°
Atoms (fractional coordinates):
Gd (0.1093, 0.1093, 0.3846)
Gd (0.2457, 0.2457, 0.8391)
Gd (0.7543, 0.7543, 0.1609)
Gd (0.8907, 0.8907, 0.6154)
Ga (0.0000, 0.0000, 0.0000)
Co (0.4096, 0.4096, 0.3798)
Co (0.4628, 0.4628, 0.1457)
Co (0.5372, 0.5372, 0.8543)
Co (0.5904, 0.5904, 0.6202)

The 10 most intense peaks (2θ from 10° to 80°), low angle first:
2theta  Rel. int.
29.75  46
30.99  32
34.23  86
34.36  100
35.27  26
37.47  31
40.24  51
41.25  31
44.45  45
57.16  24

---

This entry pairs a crystal structure of TbGd2Ga3CoGe2 with its computed powder XRD pattern. Radiation: Cu Kα (λ = 1.5418 Å). Structure: a cell relaxed with GGA-PBE.

Cell: 4.1583 6.9925 6.9925 Å, 119.98 90.00 90.00°
Atoms (fractional coordinates):
Tb (0.0000, 0.0000, 0.0000)
Gd (0.0000, 0.2016, 0.6009)
Gd (0.0000, 0.6009, 0.2016)
Ga (0.5000, 0.3723, 0.3723)
Ga (0.5000, 0.6011, 0.8295)
Ga (0.5000, 0.8295, 0.6011)
Co (0.0000, 0.6012, 0.6012)
Ge (0.5000, 0.2672, 0.9344)
Ge (0.5000, 0.9344, 0.2672)

The 10 most intense peaks (2θ from 10° to 80°), low angle first:
2theta  Rel. int.
25.47  17
33.48  100
36.71  60
39.36  36
43.53  24
44.90  19
59.34  22
60.12  20
71.61  16
75.45  14

---

This entry pairs a crystal structure of GdHoGaCo2 with its computed powder XRD pattern. Radiation: Cu Kα (λ = 1.5418 Å). Structure: a cell relaxed with GGA-PBE.

Cell: 3.9020 6.7880 6.7880 Å, 32.24 90.00 90.00°
Atoms (fractional coordinates):
Gd (0.0000, 0.0000, 0.0000)
Ho (0.0000, 0.7336, 0.7336)
Ga (0.5000, 0.3656, 0.3656)
Co (0.5000, 0.1679, 0.1679)
Co (0.5000, 0.5693, 0.5693)

The 10 most intense peaks (2θ from 10° to 80°), low angle first:
2theta  Rel. int.
27.35  16
31.41  30
33.77  100
35.89  73
39.16  51
42.13  33
46.55  25
48.29  23
61.62  38
64.57  18

---

This entry pairs a crystal structure of Gd2GaCoI2 with its computed powder XRD pattern. Radiation: Cu Kα (λ = 1.5418 Å). Structure: a cell relaxed with GGA-PBE.

Cell: 4.1664 4.1664 11.8291 Å, 90.00 90.00 120.00°
Atoms (fractional coordinates):
Gd (0.0000, 0.0000, 0.0000)
Gd (0.0000, 0.0000, 0.3137)
Ga (0.3333, 0.6667, 0.1546)
Co (0.6667, 0.3333, 0.1564)
I (0.3333, 0.6667, 0.4922)
I (0.6667, 0.3333, 0.8205)

The 10 most intense peaks (2θ from 10° to 80°), low angle first:
2theta  Rel. int.
25.81  50
28.99  32
33.67  100
39.40  20
43.44  48
46.04  13
56.06  23
65.15  26
73.47  20
79.73  8

---

Which formula does entry 4 have? GdHoGaCo2

---

Which formula does entry 2 have? Gd4GaCo4

---

Number 5 is which compound? Gd2GaCoI2